Entry 1:
This entry pairs a crystal structure of Ba4IrO with its theoretical X-ray powder pattern. Radiation: Cu Kα. Structure: a cell relaxed with GGA-PBE.

Atomic structure:
a = 9.993 Å, b = 9.993 Å, c = 7.522 Å
α = 103.71°, β = 103.71°, γ = 129.37°
Fractional positions:
Ba: 0.062 0.473 0.749
Ba: 0.144 0.306 0.247
Ba: 0.306 0.144 0.747
Ba: 0.473 0.062 0.249
Ba: 0.527 0.938 0.751
Ba: 0.694 0.856 0.253
Ba: 0.856 0.694 0.753
Ba: 0.938 0.527 0.251
Ir: 0.318 0.682 0.250
Ir: 0.682 0.318 0.750
O: 0.183 0.817 0.750
O: 0.817 0.183 0.250

Largest 10 diffraction maxima, in order of rising 2θ, 2θ from 10° to 90°:
17.2°, I = 44
19.3°, I = 21
24.3°, I = 27
28.5°, I = 63
28.8°, I = 100
39.2°, I = 15
39.5°, I = 15
40.7°, I = 39
41.2°, I = 38
42.3°, I = 17

=====

Entry 2:
This entry pairs a crystal structure of Ba6IrO2 with its theoretical X-ray powder pattern. Radiation: Cu Kα. Structure: a cell relaxed with GGA-PBE.

Atomic structure:
a = 10.515 Å, b = 10.515 Å, c = 7.961 Å
α = 104.70°, β = 104.70°, γ = 79.33°
Fractional positions:
Ba: 0.028 0.169 0.483
Ba: 0.133 0.625 0.877
Ba: 0.169 0.028 0.983
Ba: 0.318 0.459 0.364
Ba: 0.375 0.867 0.623
Ba: 0.459 0.318 0.864
Ba: 0.541 0.682 0.136
Ba: 0.625 0.133 0.377
Ba: 0.682 0.541 0.636
Ba: 0.831 0.972 0.017
Ba: 0.867 0.375 0.123
Ba: 0.972 0.831 0.517
Ir: 0.403 0.597 0.750
Ir: 0.597 0.403 0.250
O: 0.013 0.848 0.861
O: 0.152 0.987 0.639
O: 0.848 0.013 0.361
O: 0.987 0.152 0.139

Largest 10 diffraction maxima, in order of rising 2θ, 2θ from 10° to 90°:
11.6°, I = 52
13.1°, I = 19
16.2°, I = 19
22.9°, I = 19
23.3°, I = 30
24.8°, I = 26
26.6°, I = 100
27.1°, I = 33
35.5°, I = 19
36.4°, I = 18

=====

Entry 3:
This entry pairs a crystal structure of Ba3Ir2O7 with its theoretical X-ray powder pattern. Radiation: Cu Kα. Structure: a cell relaxed with GGA-PBE.

Atomic structure:
a = 11.217 Å, b = 11.217 Å, c = 11.217 Å
α = 159.11°, β = 159.11°, γ = 29.72°
Fractional positions:
Ba: 0.000 0.000 0.000
Ba: 0.184 0.184 0.000
Ba: 0.816 0.816 0.000
Ir: 0.404 0.404 0.000
Ir: 0.596 0.596 0.000
O: 0.096 0.596 0.500
O: 0.310 0.310 0.000
O: 0.404 0.904 0.500
O: 0.500 0.500 0.000
O: 0.596 0.096 0.500
O: 0.690 0.690 0.000
O: 0.904 0.404 0.500

Largest 10 diffraction maxima, in order of rising 2θ, 2θ from 10° to 90°:
16.4°, I = 10
30.1°, I = 100
31.1°, I = 56
41.6°, I = 12
44.5°, I = 28
52.9°, I = 17
54.7°, I = 39
62.6°, I = 14
73.6°, I = 10
89.8°, I = 10

=====

Entry 4:
This entry pairs a crystal structure of Ba6IrO with its theoretical X-ray powder pattern. Radiation: Cu Kα. Structure: a cell relaxed with GGA-PBE.

Atomic structure:
a = 7.736 Å, b = 7.736 Å, c = 7.491 Å
α = 90.03°, β = 90.03°, γ = 120.02°
Fractional positions:
Ba: 0.000 0.293 0.266
Ba: 0.000 0.707 0.734
Ba: 0.293 0.000 0.266
Ba: 0.293 0.293 0.734
Ba: 0.707 0.000 0.734
Ba: 0.707 0.707 0.266
Ir: 0.000 0.000 0.000
O: 0.000 0.000 0.500

Largest 10 diffraction maxima, in order of rising 2θ, 2θ from 10° to 90°:
13.2°, I = 57
23.8°, I = 15
25.9°, I = 100
33.3°, I = 39
36.0°, I = 17
37.5°, I = 21
40.4°, I = 24
43.1°, I = 32
48.6°, I = 17
65.0°, I = 18